Computed X-ray powder pattern
Compound: NaGa6Pt3
Radiation: Cu Ka
Structure: a structure optimized by DFT (PBE)
Peak positions follow from Bragg's law for the DFT cell and can differ from measured ones.

Largest 12 diffraction maxima, by angle, 2θ = 10–90°:
| 2theta | I/Imax |
| --- | --- |
| 22.0 | 10 |
| 24.7 | 94 |
| 26.8 | 25 |
| 37.0 | 17 |
| 39.5 | 37 |
| 39.6 | 18 |
| 42.2 | 100 |
| 44.6 | 10 |
| 45.0 | 13 |
| 45.8 | 24 |
| 49.5 | 11 |
| 77.2 | 14 |

Crystal structure
Cell lengths 8.1491, 4.2834, 10.0527 Å; angles 90.00, 97.00, 90.00 degrees
Space group P2_1/m (No. 11)
Inequivalent atoms, fractional coordinates:
1 Na 0.0656 0.2500 0.2815 (multiplicity 2)
2 Ga 0.1124 0.2500 0.5910 (multiplicity 2)
3 Ga 0.1190 0.7500 0.0112 (multiplicity 2)
4 Ga 0.2896 0.7500 0.2554 (multiplicity 2)
5 Ga 0.2931 0.7500 0.7589 (multiplicity 2)
6 Ga 0.4211 0.2500 0.4264 (multiplicity 2)
7 Ga 0.4587 0.2500 0.9111 (multiplicity 2)
8 Pt 0.1512 0.2500 0.8625 (multiplicity 2)
9 Pt 0.2462 0.7500 0.5005 (multiplicity 2)
10 Pt 0.3922 0.2500 0.1544 (multiplicity 2)



Computed X-ray powder pattern
Compound: Na6Ga2Pt
Radiation: Cu Ka
Structure: a structure optimized by DFT (PBE)
Peak positions follow from Bragg's law for the DFT cell and can differ from measured ones.

Largest 12 diffraction maxima, by angle, 2θ = 10–90°:
| 2theta | I/Imax |
| --- | --- |
| 19.6 | 100 |
| 20.3 | 57 |
| 33.9 | 80 |
| 35.2 | 22 |
| 36.7 | 37 |
| 39.5 | 36 |
| 45.2 | 13 |
| 50.8 | 14 |
| 51.2 | 27 |
| 53.0 | 23 |
| 60.7 | 14 |
| 62.5 | 15 |

Crystal structure
Cell lengths 5.2844, 5.2844, 28.9874 Å; angles 90.00, 90.00, 120.00 degrees
Space group R-3m (No. 166, hexagonal axes)
Inequivalent atoms, fractional coordinates:
1 Na 0.0000 0.0000 0.0802 (multiplicity 6)
2 Na 0.0000 0.0000 0.1921 (multiplicity 6)
3 Na 0.0000 0.0000 0.3089 (multiplicity 6)
4 Ga 0.0000 0.0000 0.4164 (multiplicity 6)
5 Pt 0.0000 0.0000 0.5000 (multiplicity 3)



Computed X-ray powder pattern
Compound: Na2Ga3SiPt4
Radiation: Cu Ka
Structure: a structure optimized by DFT (PBE)
Peak positions follow from Bragg's law for the DFT cell and can differ from measured ones.

Largest 12 diffraction maxima, by angle, 2θ = 10–90°:
| 2theta | I/Imax |
| --- | --- |
| 16.8 | 59 |
| 22.9 | 78 |
| 25.3 | 24 |
| 27.2 | 26 |
| 31.4 | 63 |
| 33.3 | 42 |
| 34.8 | 75 |
| 43.3 | 73 |
| 46.1 | 100 |
| 48.2 | 20 |
| 62.9 | 24 |
| 81.4 | 39 |

Crystal structure
Cell lengths 4.1794, 4.1794, 10.5695 Å; angles 90.00, 90.00, 90.00 degrees
Space group P-4m2 (No. 115)
Inequivalent atoms, fractional coordinates:
1 Na 0.0000 0.5000 0.2460 (multiplicity 2)
2 Ga 0.0000 0.5000 0.8632 (multiplicity 2)
3 Ga 0.5000 0.5000 0.5000 (multiplicity 1)
4 Si 0.0000 0.0000 0.5000 (multiplicity 1)
5 Pt 0.0000 0.0000 0.0000 (multiplicity 1)
6 Pt 0.0000 0.5000 0.6262 (multiplicity 2)
7 Pt 0.5000 0.5000 0.0000 (multiplicity 1)



Computed X-ray powder pattern
Compound: NaPuGa4
Radiation: Cu Ka
Structure: a structure optimized by DFT (PBE)
Peak positions follow from Bragg's law for the DFT cell and can differ from measured ones.

Largest 12 diffraction maxima, by angle, 2θ = 10–90°:
| 2theta | I/Imax |
| --- | --- |
| 11.1 | 61 |
| 19.4 | 19 |
| 29.0 | 15 |
| 29.7 | 15 |
| 33.2 | 10 |
| 35.1 | 100 |
| 39.2 | 46 |
| 39.4 | 23 |
| 40.4 | 11 |
| 53.5 | 10 |
| 53.8 | 19 |
| 69.6 | 17 |

Crystal structure
Cell lengths 3.3398, 4.5711, 7.9823 Å; angles 90.00, 90.00, 90.00 degrees
Space group Pmmm (No. 47)
Inequivalent atoms, fractional coordinates:
1 Na 0.0000 0.0000 0.0000 (multiplicity 1)
2 Pu 0.0000 0.5000 0.5000 (multiplicity 1)
3 Ga 0.5000 0.0000 0.3324 (multiplicity 2)
4 Ga 0.5000 0.5000 0.1626 (multiplicity 2)



Computed X-ray powder pattern
Compound: RbNa2Ga2Sb2
Radiation: Cu Ka
Structure: a structure optimized by DFT (PBE)
Peak positions follow from Bragg's law for the DFT cell and can differ from measured ones.

Largest 12 diffraction maxima, by angle, 2θ = 10–90°:
| 2theta | I/Imax |
| --- | --- |
| 20.8 | 100 |
| 22.4 | 21 |
| 25.2 | 85 |
| 27.8 | 19 |
| 32.3 | 93 |
| 33.4 | 53 |
| 38.2 | 26 |
| 41.5 | 30 |
| 42.8 | 33 |
| 46.8 | 25 |
| 49.0 | 19 |
| 49.5 | 18 |

Crystal structure
Cell lengths 10.7725, 4.3560, 10.1953 Å; angles 90.00, 109.44, 90.00 degrees
Space group C2/m (No. 12)
Inequivalent atoms, fractional coordinates:
1 Rb 0.0000 0.0000 0.0000 (multiplicity 2)
2 Na 0.1321 0.0000 0.3998 (multiplicity 4)
3 Ga 0.0751 0.5000 0.6260 (multiplicity 4)
4 Sb 0.2174 0.0000 0.7435 (multiplicity 4)



Computed X-ray powder pattern
Compound: RbNaGaSi
Radiation: Cu Ka
Structure: a structure optimized by DFT (PBE)
Peak positions follow from Bragg's law for the DFT cell and can differ from measured ones.

Largest 12 diffraction maxima, by angle, 2θ = 10–90°:
| 2theta | I/Imax |
| --- | --- |
| 24.5 | 19 |
| 26.4 | 72 |
| 29.2 | 25 |
| 31.4 | 100 |
| 43.1 | 38 |
| 44.3 | 13 |
| 46.8 | 14 |
| 52.9 | 28 |
| 54.3 | 20 |
| 56.1 | 14 |
| 59.7 | 16 |
| 71.7 | 17 |

Crystal structure
Cell lengths 7.2658, 4.1949, 9.1848 Å; angles 90.00, 90.10, 90.00 degrees
Space group Cm (No. 8)
Inequivalent atoms, fractional coordinates:
1 Rb 0.0000 0.0000 0.0000 (multiplicity 2)
2 Na 0.0009 0.0000 0.5475 (multiplicity 2)
3 Ga 0.3336 0.0000 0.3119 (multiplicity 2)
4 Si 0.1670 0.5000 0.3082 (multiplicity 2)